[1]
Structure and theoretical powder XRD pattern of Mn4CoSb4Ir3 (a cell relaxed with GGA-PBE; copper Kα).
Neutral-atom scattering factors, no anomalous dispersion.

Structural model:
abc: 14.126 14.126 14.126
angles: 17.42 17.42 17.42
Sites, in units of the cell vectors:
Mn  0.000  0.000  0.000
Mn  0.248  0.248  0.248
Mn  0.496  0.496  0.496
Mn  0.751  0.751  0.751
Co  0.439  0.439  0.439
Sb  0.120  0.120  0.120
Sb  0.378  0.378  0.378
Sb  0.625  0.625  0.625
Sb  0.873  0.873  0.873
Ir  0.184  0.184  0.184
Ir  0.688  0.688  0.688
Ir  0.936  0.936  0.936

The 10 most intense peaks (2θ = 15–90°), most intense first:
2θ 42.3, d = 2.139 Å, rel. 100
2θ 25.5, d = 3.491 Å, rel. 99
2θ 42.4, d = 2.132 Å, rel. 94
2θ 77.3, d = 1.234 Å, rel. 47
2θ 50.0, d = 1.823 Å, rel. 47
2θ 25.6, d = 3.477 Å, rel. 31
2θ 61.4, d = 1.510 Å, rel. 31
2θ 50.2, d = 1.818 Å, rel. 15
2θ 83.0, d = 1.163 Å, rel. 15
2θ 67.5, d = 1.388 Å, rel. 13

***

[2]
Structure and theoretical powder XRD pattern of V6CoIr (a cell relaxed with GGA-PBE; copper Kα).
Neutral-atom scattering factors, no anomalous dispersion.

Structural model:
abc: 4.721 4.721 4.721
angles: 90.00 90.00 90.00
Sites, in units of the cell vectors:
V  0.000  0.246  0.500
V  0.000  0.754  0.500
V  0.246  0.500  0.000
V  0.500  0.000  0.246
V  0.500  0.000  0.754
V  0.754  0.500  0.000
Co  0.000  0.000  0.000
Ir  0.500  0.500  0.500

The 10 most intense peaks (2θ = 15–90°), most intense first:
2θ 47.2, d = 1.927 Å, rel. 100
2θ 42.8, d = 2.111 Å, rel. 59
2θ 75.3, d = 1.262 Å, rel. 47
2θ 38.1, d = 2.360 Å, rel. 47
2θ 26.7, d = 3.338 Å, rel. 43
2θ 18.8, d = 4.721 Å, rel. 33
2θ 32.9, d = 2.725 Å, rel. 14
2θ 72.1, d = 1.309 Å, rel. 12
2θ 81.6, d = 1.180 Å, rel. 11
2θ 58.7, d = 1.574 Å, rel. 9

***

[3]
Structure and theoretical powder XRD pattern of KCo (a cell relaxed with GGA-PBE; copper Kα).
Neutral-atom scattering factors, no anomalous dispersion.

Structural model:
abc: 5.719 3.700 10.949
angles: 90.00 90.00 90.00
Sites, in units of the cell vectors:
K  0.006  0.250  0.152
K  0.494  0.750  0.652
K  0.506  0.250  0.348
K  0.994  0.750  0.848
Co  0.001  0.750  0.445
Co  0.499  0.250  0.945
Co  0.501  0.750  0.055
Co  0.999  0.250  0.555

The 10 most intense peaks (2θ = 15–90°), most intense first:
2θ 33.2, d = 2.702 Å, rel. 100
2θ 29.0, d = 3.077 Å, rel. 61
2θ 31.3, d = 2.860 Å, rel. 51
2θ 17.5, d = 5.069 Å, rel. 49
2θ 58.7, d = 1.574 Å, rel. 32
2θ 16.2, d = 5.475 Å, rel. 29
2θ 48.3, d = 1.884 Å, rel. 27
2θ 56.9, d = 1.619 Å, rel. 18
2θ 58.2, d = 1.585 Å, rel. 14
2θ 59.5, d = 1.553 Å, rel. 14

***

[4]
Structure and theoretical powder XRD pattern of KCo (a cell relaxed with GGA-PBE; copper Kα).
Neutral-atom scattering factors, no anomalous dispersion.

Structural model:
abc: 5.856 3.521 11.176
angles: 90.00 90.00 90.00
Sites, in units of the cell vectors:
K  0.062  0.250  0.154
K  0.438  0.750  0.654
K  0.562  0.250  0.346
K  0.938  0.750  0.846
Co  0.040  0.750  0.446
Co  0.460  0.250  0.946
Co  0.540  0.750  0.054
Co  0.960  0.250  0.554

The 10 most intense peaks (2θ = 15–90°), most intense first:
2θ 33.8, d = 2.655 Å, rel. 100
2θ 28.4, d = 3.143 Å, rel. 72
2θ 17.1, d = 5.187 Å, rel. 64
2θ 30.5, d = 2.928 Å, rel. 43
2θ 15.9, d = 5.588 Å, rel. 35
2θ 48.2, d = 1.887 Å, rel. 33
2θ 58.2, d = 1.586 Å, rel. 29
2θ 54.4, d = 1.688 Å, rel. 16
2θ 35.1, d = 2.559 Å, rel. 16
2θ 60.3, d = 1.536 Å, rel. 14

***

[5]
Structure and theoretical powder XRD pattern of KCo (a cell relaxed with GGA-PBE; copper Kα).
Neutral-atom scattering factors, no anomalous dispersion.

Structural model:
abc: 3.700 5.719 10.949
angles: 90.00 90.00 90.00
Sites, in units of the cell vectors:
K  0.000  0.250  0.098
K  0.000  0.750  0.902
K  0.500  0.250  0.402
K  0.500  0.750  0.598
Co  0.000  0.250  0.695
Co  0.000  0.750  0.305
Co  0.500  0.250  0.805
Co  0.500  0.750  0.195

The 10 most intense peaks (2θ = 15–90°), most intense first:
2θ 33.2, d = 2.702 Å, rel. 100
2θ 29.0, d = 3.077 Å, rel. 61
2θ 31.3, d = 2.860 Å, rel. 51
2θ 17.5, d = 5.069 Å, rel. 49
2θ 58.7, d = 1.574 Å, rel. 32
2θ 16.2, d = 5.475 Å, rel. 29
2θ 48.3, d = 1.884 Å, rel. 27
2θ 56.9, d = 1.619 Å, rel. 18
2θ 58.2, d = 1.585 Å, rel. 14
2θ 59.5, d = 1.553 Å, rel. 14

***

[6]
Structure and theoretical powder XRD pattern of KMg14Co (a cell relaxed with GGA-PBE; copper Kα).
Neutral-atom scattering factors, no anomalous dispersion.

Structural model:
abc: 10.603 6.366 6.366
angles: 61.31 90.00 90.00
Sites, in units of the cell vectors:
K  0.000  0.000  0.000
Mg  0.000  0.008  0.494
Mg  0.000  0.494  0.008
Mg  0.230  0.659  0.659
Mg  0.247  0.179  0.653
Mg  0.247  0.653  0.179
Mg  0.264  0.168  0.168
Mg  0.500  0.498  0.498
Mg  0.500  0.502  0.993
Mg  0.500  0.993  0.502
Mg  0.500  0.995  0.995
Mg  0.736  0.168  0.168
Mg  0.753  0.179  0.653
Mg  0.753  0.653  0.179
Mg  0.770  0.659  0.659
Co  0.000  0.489  0.489

The 10 most intense peaks (2θ = 15–90°), most intense first:
2θ 36.4, d = 2.470 Å, rel. 100
2θ 36.9, d = 2.433 Å, rel. 46
2θ 33.8, d = 2.651 Å, rel. 40
2θ 32.1, d = 2.792 Å, rel. 24
2θ 62.2, d = 1.493 Å, rel. 18
2θ 68.8, d = 1.364 Å, rel. 17
2θ 58.0, d = 1.591 Å, rel. 16
2θ 47.3, d = 1.922 Å, rel. 15
2θ 69.6, d = 1.350 Å, rel. 13
2θ 32.7, d = 2.738 Å, rel. 12

***

[7]
Structure and theoretical powder XRD pattern of KMg14Co (a cell relaxed with GGA-PBE; copper Kα).
Neutral-atom scattering factors, no anomalous dispersion.

Structural model:
abc: 6.333 6.333 10.487
angles: 90.00 90.00 120.00
Sites, in units of the cell vectors:
K  0.000  0.000  0.000
Mg  0.007  0.504  0.000
Mg  0.163  0.325  0.279
Mg  0.163  0.325  0.721
Mg  0.163  0.837  0.279
Mg  0.163  0.837  0.721
Mg  0.496  0.504  0.000
Mg  0.496  0.993  0.000
Mg  0.505  0.010  0.500
Mg  0.505  0.495  0.500
Mg  0.667  0.333  0.241
Mg  0.667  0.333  0.759
Mg  0.675  0.837  0.279
Mg  0.675  0.837  0.721
Mg  0.990  0.495  0.500
Co  0.000  0.000  0.500

The 10 most intense peaks (2θ = 15–90°), most intense first:
2θ 37.0, d = 2.430 Å, rel. 100
2θ 32.7, d = 2.742 Å, rel. 26
2θ 34.2, d = 2.622 Å, rel. 24
2θ 58.3, d = 1.583 Å, rel. 17
2θ 69.3, d = 1.355 Å, rel. 17
2θ 63.1, d = 1.474 Å, rel. 15
2θ 48.0, d = 1.895 Å, rel. 15
2θ 71.1, d = 1.327 Å, rel. 13
2θ 16.2, d = 5.485 Å, rel. 8
2θ 23.5, d = 3.790 Å, rel. 5

***

[8]
Structure and theoretical powder XRD pattern of KCo2P2 (a cell relaxed with GGA-PBE; copper Kα).
Neutral-atom scattering factors, no anomalous dispersion.

Structural model:
abc: 3.679 3.679 13.325
angles: 90.00 90.00 90.00
Sites, in units of the cell vectors:
K  0.000  0.000  0.000
K  0.500  0.500  0.500
Co  0.000  0.500  0.250
Co  0.000  0.500  0.750
Co  0.500  0.000  0.250
Co  0.500  0.000  0.750
P  0.000  0.000  0.340
P  0.000  0.000  0.660
P  0.500  0.500  0.160
P  0.500  0.500  0.840

The 10 most intense peaks (2θ = 15–90°), most intense first:
2θ 37.1, d = 2.423 Å, rel. 100
2θ 31.6, d = 2.833 Å, rel. 85
2θ 54.3, d = 1.689 Å, rel. 79
2θ 49.6, d = 1.840 Å, rel. 54
2θ 26.8, d = 3.331 Å, rel. 50
2θ 44.2, d = 2.050 Å, rel. 47
2θ 51.5, d = 1.773 Å, rel. 23
2θ 60.0, d = 1.543 Å, rel. 23
2θ 57.2, d = 1.610 Å, rel. 21
2θ 72.7, d = 1.301 Å, rel. 16

***

[9]
Structure and theoretical powder XRD pattern of KSc2Co (a cell relaxed with GGA-PBE; copper Kα).
Neutral-atom scattering factors, no anomalous dispersion.

Structural model:
abc: 7.145 7.145 7.145
angles: 90.00 90.00 90.00
Sites, in units of the cell vectors:
K  0.000  0.000  0.000
K  0.000  0.500  0.500
K  0.500  0.000  0.500
K  0.500  0.500  0.000
Sc  0.000  0.000  0.500
Sc  0.000  0.500  0.000
Sc  0.250  0.250  0.750
Sc  0.250  0.750  0.250
Sc  0.500  0.000  0.000
Sc  0.500  0.500  0.500
Sc  0.750  0.250  0.250
Sc  0.750  0.750  0.750
Co  0.250  0.250  0.250
Co  0.250  0.750  0.750
Co  0.750  0.250  0.750
Co  0.750  0.750  0.250

The 10 most intense peaks (2θ = 15–90°), most intense first:
2θ 35.5, d = 2.526 Å, rel. 100
2θ 63.8, d = 1.459 Å, rel. 31
2θ 51.1, d = 1.786 Å, rel. 16
2θ 86.1, d = 1.130 Å, rel. 13
2θ 75.2, d = 1.263 Å, rel. 9
2θ 21.5, d = 4.125 Å, rel. 2
2θ 24.9, d = 3.573 Å, rel. 1
2θ 41.9, d = 2.154 Å, rel. 1
2θ 57.7, d = 1.598 Å, rel. 1
2θ 43.9, d = 2.063 Å, rel. 1

***

[10]
Structure and theoretical powder XRD pattern of K2CoSe2 (a cell relaxed with GGA-PBE; copper Kα).
Neutral-atom scattering factors, no anomalous dispersion.

Structural model:
abc: 8.134 8.134 8.134
angles: 128.73 70.62 134.93
Sites, in units of the cell vectors:
K  0.144  0.173  0.317
K  0.356  0.673  0.028
K  0.644  0.327  0.972
K  0.856  0.827  0.683
Co  0.250  0.750  0.500
Co  0.750  0.250  0.500
Se  0.102  0.684  0.786
Se  0.398  0.184  0.583
Se  0.602  0.816  0.417
Se  0.898  0.316  0.214

The 10 most intense peaks (2θ = 15–90°), most intense first:
2θ 39.7, d = 2.272 Å, rel. 100
2θ 29.9, d = 2.986 Å, rel. 94
2θ 35.6, d = 2.519 Å, rel. 73
2θ 38.6, d = 2.333 Å, rel. 71
2θ 37.2, d = 2.414 Å, rel. 63
2θ 28.6, d = 3.117 Å, rel. 62
2θ 33.1, d = 2.705 Å, rel. 62
2θ 23.3, d = 3.818 Å, rel. 54
2θ 26.9, d = 3.319 Å, rel. 42
2θ 23.8, d = 3.746 Å, rel. 33

***

[11]
Structure and theoretical powder XRD pattern of K6CoSe4 (a cell relaxed with GGA-PBE; copper Kα).
Neutral-atom scattering factors, no anomalous dispersion.

Structural model:
abc: 10.217 10.217 8.016
angles: 90.00 90.00 120.00
Sites, in units of the cell vectors:
K  0.056  0.528  0.000
K  0.147  0.293  0.677
K  0.147  0.853  0.677
K  0.293  0.147  0.177
K  0.472  0.528  0.000
K  0.472  0.944  0.000
K  0.528  0.056  0.500
K  0.528  0.472  0.500
K  0.707  0.853  0.677
K  0.853  0.147  0.177
K  0.853  0.707  0.177
K  0.944  0.472  0.500
Co  0.333  0.667  0.386
Co  0.667  0.333  0.886
Se  0.199  0.398  0.288
Se  0.199  0.801  0.288
Se  0.333  0.667  0.697
Se  0.398  0.199  0.788
Se  0.602  0.801  0.288
Se  0.667  0.333  0.197
Se  0.801  0.199  0.788
Se  0.801  0.602  0.788

The 10 most intense peaks (2θ = 15–90°), most intense first:
2θ 35.1, d = 2.555 Å, rel. 100
2θ 30.1, d = 2.970 Å, rel. 72
2θ 28.9, d = 3.086 Å, rel. 57
2θ 32.3, d = 2.768 Å, rel. 45
2θ 56.9, d = 1.617 Å, rel. 37
2θ 39.4, d = 2.287 Å, rel. 25
2θ 23.0, d = 3.873 Å, rel. 24
2θ 34.9, d = 2.568 Å, rel. 23
2θ 20.1, d = 4.424 Å, rel. 22
2θ 22.2, d = 4.008 Å, rel. 18

***

[12]
Structure and theoretical powder XRD pattern of KTlCo4Se4 (a cell relaxed with GGA-PBE; copper Kα).
Neutral-atom scattering factors, no anomalous dispersion.

Structural model:
abc: 3.891 3.891 13.309
angles: 90.00 90.00 90.00
Sites, in units of the cell vectors:
K  0.000  0.000  0.000
Tl  0.500  0.500  0.500
Co  0.000  0.500  0.250
Co  0.000  0.500  0.750
Co  0.500  0.000  0.250
Co  0.500  0.000  0.750
Se  0.000  0.000  0.348
Se  0.000  0.000  0.652
Se  0.500  0.500  0.151
Se  0.500  0.500  0.849

The 10 most intense peaks (2θ = 15–90°), most intense first:
2θ 30.6, d = 2.925 Å, rel. 100
2θ 53.0, d = 1.727 Å, rel. 40
2θ 56.8, d = 1.620 Å, rel. 34
2θ 35.3, d = 2.542 Å, rel. 34
2θ 46.7, d = 1.945 Å, rel. 33
2θ 32.5, d = 2.751 Å, rel. 13
2θ 26.5, d = 3.359 Å, rel. 12
2θ 68.2, d = 1.376 Å, rel. 10
2θ 42.6, d = 2.120 Å, rel. 9
2θ 22.9, d = 3.891 Å, rel. 8

***

[13]
Structure and theoretical powder XRD pattern of KTl4Co10Se10 (a cell relaxed with GGA-PBE; copper Kα).
Neutral-atom scattering factors, no anomalous dispersion.

Structural model:
abc: 33.579 33.579 33.579
angles: 173.40 173.40 9.33
Sites, in units of the cell vectors:
K  0.000  0.000  0.000
Tl  0.200  0.200  0.000
Tl  0.400  0.400  0.000
Tl  0.600  0.600  0.000
Tl  0.800  0.800  0.000
Co  0.050  0.550  0.500
Co  0.150  0.650  0.500
Co  0.250  0.750  0.500
Co  0.350  0.850  0.500
Co  0.450  0.950  0.500
Co  0.550  0.050  0.500
Co  0.650  0.150  0.500
Co  0.750  0.250  0.500
Co  0.850  0.350  0.500
Co  0.950  0.450  0.500
Se  0.070  0.070  0.000
Se  0.130  0.130  0.000
Se  0.270  0.270  0.000
Se  0.330  0.330  0.000
Se  0.470  0.470  0.000
Se  0.530  0.530  0.000
Se  0.670  0.670  0.000
Se  0.730  0.730  0.000
Se  0.870  0.870  0.000
Se  0.930  0.930  0.000

The 10 most intense peaks (2θ = 15–90°), most intense first:
2θ 30.6, d = 2.921 Å, rel. 100
2θ 53.0, d = 1.728 Å, rel. 38
2θ 35.5, d = 2.530 Å, rel. 37
2θ 57.2, d = 1.611 Å, rel. 34
2θ 47.0, d = 1.932 Å, rel. 30
2θ 32.8, d = 2.732 Å, rel. 16
2θ 41.0, d = 2.201 Å, rel. 11
2θ 24.0, d = 3.713 Å, rel. 10
2θ 54.9, d = 1.673 Å, rel. 10
2θ 26.6, d = 3.347 Å, rel. 10